# 1
The following is a theoretical powder diffractogram of Y3NiSn2. It was derived from DFT lattice parameters and positions (PBE), using Cu Kα (λ = 1.5418 Å).
Kinematic intensities with the Lorentz-polarization factor, no thermal factor.

Cell and atoms:
```
data_Y3NiSn2
_chemical_formula_sum 'Y12 Ni4 Sn8'
_symmetry_space_group_name_H-M 'P n m a'
_symmetry_Int_Tables_number 62
_cell_length_a 12.031
_cell_length_b 4.377
_cell_length_c 11.713
_cell_angle_alpha 90.00
_cell_angle_beta 90.00
_cell_angle_gamma 90.00
loop_
_symmetry_equiv_pos_as_xyz
'x,y,z'
'-x,-y,-z'
'-x+1/2,-y,z+1/2'
'x+1/2,y,-z+1/2'
'x+1/2,-y+1/2,-z+1/2'
'-x+1/2,y+1/2,z+1/2'
'-x,y+1/2,-z'
'x,-y+1/2,z'
loop_
_atom_site_label
_atom_site_type_symbol
_atom_site_fract_x
_atom_site_fract_y
_atom_site_fract_z
Y1 Y 0.055 0.250 0.128
Y2 Y 0.120 0.750 0.554
Y3 Y 0.230 0.250 0.796
Ni1 Ni 0.128 0.250 0.366
Sn1 Sn 0.011 0.750 0.312
Sn2 Sn 0.192 0.750 0.997
```

Most intense lines, 2θ from 5° to 70°, by intensity:
d [Å]	2theta	I (rel.)
2.638	33.99	100
2.913	30.69	95
2.425	37.07	71
2.188	41.26	70
3.029	29.49	59
2.256	39.96	41
2.832	31.60	35
2.023	44.80	34
2.385	37.71	31
2.867	31.20	30

***

# 2
The following is a theoretical powder diffractogram of Sm6DyTh. It was derived from DFT lattice parameters and positions (PBE), using Cu Kα (λ = 1.5418 Å).
Kinematic intensities with the Lorentz-polarization factor, no thermal factor.

Cell and atoms:
```
data_Sm6DyTh
_chemical_formula_sum 'Sm6 Dy1 Th1'
_symmetry_space_group_name_H-M 'P 4/m m m'
_symmetry_Int_Tables_number 123
_symmetry_space_group_name_Hall '-P 4 2'
_cell_length_a 5.106
_cell_length_b 5.106
_cell_length_c 10.200
_cell_angle_alpha 90.00
_cell_angle_beta 90.00
_cell_angle_gamma 90.00
loop_
_atom_site_label
_atom_site_type_symbol
_atom_site_fract_x
_atom_site_fract_y
_atom_site_fract_z
Sm1 Sm 0.000 0.000 0.000
Sm2 Sm 0.000 0.000 0.500
Sm3 Sm 0.000 0.500 0.248
Dy1 Dy 0.500 0.500 0.500
Th1 Th 0.500 0.500 0.000
```

Most intense lines, 2θ from 5° to 70°, by intensity:
d [Å]	2theta	I (rel.)
2.947	30.33	100
2.552	35.17	51
1.539	60.13	43
1.804	50.58	36
1.473	63.10	13
10.200	8.67	1
5.104	17.38	1
3.609	24.67	1
4.566	19.44	1
2.282	39.48	1

***

# 3
The following is a theoretical powder diffractogram of Sr2NdPd9. It was derived from DFT lattice parameters and positions (PBE), using Cu Kα (λ = 1.5418 Å).
Kinematic intensities with the Lorentz-polarization factor, no thermal factor.

Cell and atoms:
```
data_Sr2NdPd9
_chemical_formula_sum 'Sr4 Nd2 Pd18'
_symmetry_space_group_name_H-M 'P 63/m m c'
_symmetry_Int_Tables_number 194
_symmetry_space_group_name_Hall '-P 6c 2c'
_cell_length_a 5.4608
_cell_length_b 5.4608
_cell_length_c 18.2607
_cell_angle_alpha 90.00
_cell_angle_beta 90.00
_cell_angle_gamma 120.00
loop_
_atom_site_label
_atom_site_type_symbol
_atom_site_fract_x
_atom_site_fract_y
_atom_site_fract_z
Sr1 Sr 0.3333 0.6667 0.0397
Nd1 Nd 0.3333 0.6667 0.2500
Pd1 Pd 0.0000 0.0000 0.0000
Pd2 Pd 0.0000 0.0000 0.2500
Pd3 Pd 0.1673 0.3346 0.6259
Pd4 Pd 0.3333 0.6667 0.7500
```

Most intense lines, 2θ from 5° to 70°, by intensity:
d [Å]	2theta	I (rel.)
2.344	38.41	100
2.204	40.95	22
2.891	30.94	21
2.283	39.48	20
1.365	68.76	18
1.490	62.31	17
2.730	32.80	17
2.100	43.08	12
1.540	60.08	11
2.284	39.45	7

***

# 4
The following is a theoretical powder diffractogram of SrCuI3. It was derived from DFT lattice parameters and positions (PBE), using Cu Kα (λ = 1.5418 Å).
Kinematic intensities with the Lorentz-polarization factor, no thermal factor.

Cell and atoms:
```
data_SrCuI3
_chemical_formula_sum 'Sr4 Cu4 I12'
_symmetry_space_group_name_H-M 'P 1 21/c 1'
_symmetry_Int_Tables_number 14
_cell_length_a 6.991
_cell_length_b 9.639
_cell_length_c 14.113
_cell_angle_alpha 90.00
_cell_angle_beta 118.49
_cell_angle_gamma 90.00
loop_
_symmetry_equiv_pos_as_xyz
'x,y,z'
'-x,-y,-z'
'-x,y+1/2,-z+1/2'
'x,-y+1/2,z+1/2'
loop_
_atom_site_label
_atom_site_type_symbol
_atom_site_fract_x
_atom_site_fract_y
_atom_site_fract_z
Sr1 Sr 0.000 0.246 0.000
Cu1 Cu 0.490 0.000 0.875
I1 I 0.147 0.000 0.675
I2 I 0.201 0.000 0.177
I3 I 0.500 0.211 0.000
```

Most intense lines, 2θ from 5° to 70°, by intensity:
d [Å]	2theta	I (rel.)
3.805	23.38	100
3.495	25.49	67
2.558	35.08	47
2.608	34.39	34
2.410	37.32	27
3.592	24.79	26
7.611	11.63	24
2.591	34.62	22
1.984	45.74	21
2.880	31.05	18

***

# 5
The following is a theoretical powder diffractogram of TaBRu3. It was derived from DFT lattice parameters and positions (PBE), using Cu Kα (λ = 1.5418 Å).
Kinematic intensities with the Lorentz-polarization factor, no thermal factor.

Cell and atoms:
```
data_TaBRu3
_chemical_formula_sum 'Ta4 B4 Ru12'
_symmetry_space_group_name_H-M 'C 1 2 1'
_symmetry_Int_Tables_number 5
_cell_length_a 9.519
_cell_length_b 5.344
_cell_length_c 5.387
_cell_angle_alpha 90.00
_cell_angle_beta 102.57
_cell_angle_gamma 90.00
loop_
_symmetry_equiv_pos_as_xyz
'x,y,z'
'-x,y,-z'
'x+1/2,y+1/2,z'
'-x+1/2,y+1/2,-z'
loop_
_atom_site_label
_atom_site_type_symbol
_atom_site_fract_x
_atom_site_fract_y
_atom_site_fract_z
Ta1 Ta 0.143 0.000 0.380
B1 B 0.000 0.174 0.000
B2 B 0.000 0.644 0.500
Ru1 Ru 0.117 0.826 0.861
Ru2 Ru 0.123 0.327 0.734
Ru3 Ru 0.135 0.496 0.228
```

Most intense lines, 2θ from 5° to 70°, by intensity:
d [Å]	2theta	I (rel.)
2.210	40.84	100
2.323	38.77	88
2.187	41.28	73
2.039	44.42	64
2.083	43.45	52
2.673	33.53	40
2.537	35.38	24
2.629	34.10	24
2.382	37.77	22
1.361	69.01	22

***

# 6
The following is a theoretical powder diffractogram of Dy4MgSc2. It was derived from DFT lattice parameters and positions (PBE), using Cu Kα (λ = 1.5418 Å).
Kinematic intensities with the Lorentz-polarization factor, no thermal factor.

Cell and atoms:
```
data_Dy4MgSc2
_chemical_formula_sum 'Dy8 Mg2 Sc4'
_symmetry_space_group_name_H-M 'P 1 21/m 1'
_symmetry_Int_Tables_number 11
_cell_length_a 5.435
_cell_length_b 6.645
_cell_length_c 11.440
_cell_angle_alpha 90.00
_cell_angle_beta 103.82
_cell_angle_gamma 90.00
loop_
_symmetry_equiv_pos_as_xyz
'x,y,z'
'-x,-y,-z'
'-x,y+1/2,-z'
'x,-y+1/2,z'
loop_
_atom_site_label
_atom_site_type_symbol
_atom_site_fract_x
_atom_site_fract_y
_atom_site_fract_z
Dy1 Dy 0.062 0.250 0.137
Dy2 Dy 0.211 0.750 0.431
Dy3 Dy 0.357 0.508 0.710
Mg1 Mg 0.082 0.750 0.153
Sc1 Sc 0.216 0.250 0.426
Sc2 Sc 0.485 0.250 0.986
```

Most intense lines, 2θ from 5° to 70°, by intensity:
d [Å]	2theta	I (rel.)
2.741	32.67	100
2.648	33.86	56
2.812	31.82	50
2.718	32.96	50
3.658	24.33	36
2.851	31.37	35
1.967	46.14	24
4.262	20.84	22
11.109	7.96	22
2.473	36.33	20

***

# 7
The following is a theoretical powder diffractogram of K12Rb6Bi. It was derived from DFT lattice parameters and positions (PBE), using Cu Kα (λ = 1.5418 Å).
Kinematic intensities with the Lorentz-polarization factor, no thermal factor.

Cell and atoms:
```
data_K12Rb6Bi
_chemical_formula_sum 'K36 Rb18 Bi3'
_symmetry_space_group_name_H-M 'R -3'
_symmetry_Int_Tables_number 148
_symmetry_space_group_name_Hall '-R 3'
_cell_length_a 15.5978
_cell_length_b 15.5978
_cell_length_c 21.4570
_cell_angle_alpha 90.00
_cell_angle_beta 90.00
_cell_angle_gamma 120.00
loop_
_atom_site_label
_atom_site_type_symbol
_atom_site_fract_x
_atom_site_fract_y
_atom_site_fract_z
K1 K 0.0072 0.5044 0.3836
K2 K 0.0964 0.9017 0.3956
Rb1 Rb 0.1067 0.2138 0.1519
Bi1 Bi 0.0000 0.0000 0.5000
```

Most intense lines, 2θ from 5° to 70°, by intensity:
d [Å]	2theta	I (rel.)
3.698	24.07	100
4.967	17.86	69
3.285	27.14	51
4.610	19.25	45
3.336	26.72	45
5.271	16.82	31
7.152	12.38	30
2.443	36.79	29
2.600	34.50	27
11.431	7.73	26

***

# 8
The following is a theoretical powder diffractogram of HfZrN3. It was derived from DFT lattice parameters and positions (PBE), using Cu Kα (λ = 1.5418 Å).
Kinematic intensities with the Lorentz-polarization factor, no thermal factor.

Cell and atoms:
```
data_HfZrN3
_chemical_formula_sum 'Hf1 Zr1 N3'
_symmetry_space_group_name_H-M 'P -6 m 2'
_symmetry_Int_Tables_number 187
_symmetry_space_group_name_Hall 'P -6 2'
_cell_length_a 5.6622
_cell_length_b 5.6622
_cell_length_c 2.9503
_cell_angle_alpha 90.00
_cell_angle_beta 90.00
_cell_angle_gamma 120.00
loop_
_atom_site_label
_atom_site_type_symbol
_atom_site_fract_x
_atom_site_fract_y
_atom_site_fract_z
Hf1 Hf 0.0000 0.0000 0.0000
Zr1 Zr 0.6667 0.3333 0.0000
N1 N 0.3293 0.1647 0.5000
```

Most intense lines, 2θ from 5° to 70°, by intensity:
d [Å]	2theta	I (rel.)
4.904	18.09	100
2.831	31.60	60
2.043	44.34	57
2.528	35.51	27
1.886	48.26	19
1.430	65.26	18
2.950	30.29	18
1.853	49.16	14
1.569	58.84	13
1.635	56.28	12

***

# 9
The following is a theoretical powder diffractogram of U2Se4Br. It was derived from DFT lattice parameters and positions (PBE), using Cu Kα (λ = 1.5418 Å).
Kinematic intensities with the Lorentz-polarization factor, no thermal factor.

Cell and atoms:
```
data_U2Se4Br
_chemical_formula_sum 'U8 Se16 Br4'
_symmetry_space_group_name_H-M 'C 1 2 1'
_symmetry_Int_Tables_number 5
_cell_length_a 16.276
_cell_length_b 7.084
_cell_length_c 8.005
_cell_angle_alpha 90.00
_cell_angle_beta 119.36
_cell_angle_gamma 90.00
loop_
_symmetry_equiv_pos_as_xyz
'x,y,z'
'-x,y,-z'
'x+1/2,y+1/2,z'
'-x+1/2,y+1/2,-z'
loop_
_atom_site_label
_atom_site_type_symbol
_atom_site_fract_x
_atom_site_fract_y
_atom_site_fract_z
U1 U 0.000 0.000 0.000
U2 U 0.000 0.001 0.500
U3 U 0.201 0.588 0.951
Se1 Se 0.005 0.717 0.756
Se2 Se 0.108 0.230 0.857
Se3 Se 0.199 0.871 0.188
Se4 Se 0.200 0.869 0.711
Br1 Br 0.112 0.206 0.363
```

Most intense lines, 2θ from 5° to 70°, by intensity:
d [Å]	2theta	I (rel.)
6.972	12.70	100
2.200	41.02	90
2.484	36.15	79
2.653	33.79	78
3.384	26.34	73
6.338	13.97	73
2.634	34.04	43
2.112	42.82	38
3.933	22.61	36
2.001	45.32	31

***

# 10
The following is a theoretical powder diffractogram of HfAlRh. It was derived from DFT lattice parameters and positions (PBE), using Cu Kα (λ = 1.5418 Å).
Kinematic intensities with the Lorentz-polarization factor, no thermal factor.

Cell and atoms:
```
data_HfAlRh
_chemical_formula_sum 'Hf1 Al1 Rh1'
_symmetry_space_group_name_H-M 'P -6 m 2'
_symmetry_Int_Tables_number 187
_symmetry_space_group_name_Hall 'P -6 2'
_cell_length_a 4.3846
_cell_length_b 4.3846
_cell_length_c 3.0453
_cell_angle_alpha 90.00
_cell_angle_beta 90.00
_cell_angle_gamma 120.00
loop_
_atom_site_label
_atom_site_type_symbol
_atom_site_fract_x
_atom_site_fract_y
_atom_site_fract_z
Hf1 Hf 0.0000 0.0000 0.0000
Al1 Al 0.3333 0.6667 0.5000
Rh1 Rh 0.6667 0.3333 0.5000
```

Most intense lines, 2θ from 5° to 70°, by intensity:
d [Å]	2theta	I (rel.)
2.376	37.87	100
2.192	41.18	59
3.797	23.43	44
1.611	57.18	30
1.899	47.91	7
1.523	60.84	6
1.435	64.98	6
1.413	66.12	5
1.779	51.35	1
3.045	29.33	1

***

Copy entry 3 word for word.
The following is a theoretical powder diffractogram of Sr2NdPd9. It was derived from DFT lattice parameters and positions (PBE), using Cu Kα (λ = 1.5418 Å).
Kinematic intensities with the Lorentz-polarization factor, no thermal factor.

Cell and atoms:
```
data_Sr2NdPd9
_chemical_formula_sum 'Sr4 Nd2 Pd18'
_symmetry_space_group_name_H-M 'P 63/m m c'
_symmetry_Int_Tables_number 194
_symmetry_space_group_name_Hall '-P 6c 2c'
_cell_length_a 5.4608
_cell_length_b 5.4608
_cell_length_c 18.2607
_cell_angle_alpha 90.00
_cell_angle_beta 90.00
_cell_angle_gamma 120.00
loop_
_atom_site_label
_atom_site_type_symbol
_atom_site_fract_x
_atom_site_fract_y
_atom_site_fract_z
Sr1 Sr 0.3333 0.6667 0.0397
Nd1 Nd 0.3333 0.6667 0.2500
Pd1 Pd 0.0000 0.0000 0.0000
Pd2 Pd 0.0000 0.0000 0.2500
Pd3 Pd 0.1673 0.3346 0.6259
Pd4 Pd 0.3333 0.6667 0.7500
```

Most intense lines, 2θ from 5° to 70°, by intensity:
d [Å]	2theta	I (rel.)
2.344	38.41	100
2.204	40.95	22
2.891	30.94	21
2.283	39.48	20
1.365	68.76	18
1.490	62.31	17
2.730	32.80	17
2.100	43.08	12
1.540	60.08	11
2.284	39.45	7